Diffraction record for LiMnCuSe3. The powder X-ray diffraction pattern is computed, not measured: it uses a crystal structure in Alexandria, relaxed with PBE and a wavelength of 1.5418 Å.

Cell lengths 7.348, 3.667, 8.647 Å; angles 90.00, 103.72, 90.00 degrees
Space group P2_1/m (No. 11)
Unique sites:
Li (0.202, 0.250, 0.284)
Mn (0.323, 0.750, 0.838)
Cu (0.078, 0.250, 0.596)
Se (0.101, 0.250, 0.876)
Se (0.272, 0.750, 0.537)
Se (0.433, 0.750, 0.141)

Main lines, in order of rising 2θ (2θ from 10° to 80°):
- 14.2°, I 100
- 29.4°, I 25
- 32.0°, I 38
- 34.9°, I 37
- 35.1°, I 80
- 40.1°, I 32
- 44.5°, I 28
- 49.7°, I 47
- 51.4°, I 38
- 52.4°, I 28